Diffraction record for Pm5Y3Tm. The powder diffractogram is simulated, not measured: it uses a structure optimized by DFT (GGA-PBE) and copper Kα.
Peak positions follow from Bragg's law for the DFT cell and can differ from measured ones.

Principal peaks in the range 2θ from 10° to 90°, sorted by position:
2θ (°), I_rel, index
17.92, 44, 0 0 2
26.69, 72, 6 0 -2
28.43, 98, 1 1 -3
29.36, 93, 5 1 -3
30.06, 97, 2 2 -1
30.42, 59, 2 2 0
31.83, 100, 6 0 0
32.85, 46, 6 0 -4
33.56, 67, 1 1 3
33.81, 54, 4 2 -1
39.69, 48, 4 2 1
54.33, 46, 10 2 -3

Atomic structure:
a b c (Å): 20.048 6.270 11.761
angles (deg): 90.00 122.70 90.00
Space group C2/c (No. 15)
Unique sites:
Pm 0.000 0.090 0.250
Pm 0.137 0.170 0.658
Pm 0.180 0.320 0.332
Y 0.000 0.500 0.000
Y 0.176 0.280 0.028
Tm 0.000 0.401 0.750